No. 1
Computed X-ray diffraction stick pattern of Fe2SiO4 for Cu Kα, 1.54184 Å, from a DFT-relaxed cell (PBE+U, the Materials Project).

Most intense lines, 2θ from 5° to 70°, in order of rising 2θ:
| 2theta | I (rel.) |
| --- | --- |
| 19.5 | 71 |
| 34.0 | 29 |
| 36.4 | 32 |
| 42.5 | 100 |
| 47.3 | 37 |
| 65.5 | 45 |

```
data_Fe2SiO4
_space_group_name_H-M_alt 'I m m a'
_space_group_IT_number 74
_space_group_name_Hall '-I 2b 2'
_cell_length_a 5.6623
_cell_length_b 6.4535
_cell_length_c 7.6827
_cell_angle_alpha 90.00
_cell_angle_beta 90.00
_cell_angle_gamma 90.00
loop_
_atom_site_label
_atom_site_fract_x
_atom_site_fract_y
_atom_site_fract_z
Fe1 0.0000 0.0000 0.0000
Fe2 0.2500 0.2500 0.2500
Si1 0.2500 0.2500 0.7500
O1 0.0000 0.0590 0.7397
O2 0.2385 0.2500 0.9833
```

No. 2
Computed X-ray diffraction stick pattern of Fe2SiO4 for Cu Kα, 1.54184 Å, from a DFT-relaxed cell (PBE+U, the Materials Project).

Most intense lines, 2θ from 5° to 70°, in order of rising 2θ:
| 2theta | I (rel.) |
| --- | --- |
| 31.3 | 100 |
| 34.5 | 58 |
| 35.3 | 58 |
| 35.5 | 59 |
| 50.5 | 43 |
| 50.8 | 56 |

```
data_Fe2SiO4
_space_group_name_H-M_alt 'P -1'
_space_group_IT_number 2
_space_group_name_Hall '-P 1'
_cell_length_a 4.8856
_cell_length_b 6.1808
_cell_length_c 10.5892
_cell_angle_alpha 90.09
_cell_angle_beta 90.12
_cell_angle_gamma 90.43
loop_
_atom_site_label
_atom_site_fract_x
_atom_site_fract_y
_atom_site_fract_z
Fe1 0.0000 0.0000 0.0000
Fe2 0.0000 0.5000 0.0000
Fe3 0.0188 0.2505 0.2796
Fe4 0.4802 0.2501 0.7795
Fe5 0.5000 0.0000 0.5000
Fe6 0.5000 0.5000 0.5000
Si1 0.0745 0.7482 0.4045
Si2 0.4264 0.7522 0.9042
O1 0.2097 0.7427 0.5495
O2 0.2173 0.5397 0.3320
O3 0.2204 0.9662 0.3410
O4 0.2384 0.2460 0.0940
O5 0.2606 0.2547 0.5937
O6 0.2797 0.5346 0.8405
O7 0.2838 0.9607 0.8319
O8 0.2902 0.7574 0.0489
```

No. 3
Computed X-ray diffraction stick pattern of Fe4SiO9 for Cu Kα, 1.54184 Å, from a DFT-relaxed cell (PBE+U, the Materials Project).

Most intense lines, 2θ from 5° to 70°, in order of rising 2θ:
| 2theta | I (rel.) |
| --- | --- |
| 12.0 | 100 |
| 24.1 | 80 |
| 34.8 | 25 |
| 36.0 | 43 |
| 42.1 | 20 |
| 59.2 | 20 |

```
data_Fe4SiO9
_space_group_name_H-M_alt 'P 1'
_space_group_IT_number 1
_space_group_name_Hall 'P 1'
_cell_length_a 5.3336
_cell_length_b 5.3359
_cell_length_c 7.3812
_cell_angle_alpha 90.63
_cell_angle_beta 90.83
_cell_angle_gamma 118.61
loop_
_atom_site_label
_atom_site_fract_x
_atom_site_fract_y
_atom_site_fract_z
Fe1 0.0000 0.0000 0.0000
Fe2 0.0013 0.3433 0.4147
Fe3 0.3413 0.6716 0.0010
Fe4 0.6769 0.3499 0.9995
Si1 0.3361 0.0026 0.4032
O1 0.0187 0.6737 0.8809
O2 0.0810 0.0577 0.4752
O3 0.2895 0.6989 0.4764
O4 0.3289 0.9956 0.1727
O5 0.3371 0.3246 0.8869
O6 0.6394 0.2565 0.4771
O7 0.6601 0.0196 0.8882
O8 0.6680 0.6610 0.1276
O9 0.9958 0.3397 0.1482
```

No. 4
Computed X-ray diffraction stick pattern of Fe4SiO9 for Cu Kα, 1.54184 Å, from a DFT-relaxed cell (PBE+U, the Materials Project).

Most intense lines, 2θ from 5° to 70°, in order of rising 2θ:
| 2theta | I (rel.) |
| --- | --- |
| 11.3 | 100 |
| 22.7 | 56 |
| 34.4 | 13 |
| 34.9 | 13 |
| 35.6 | 12 |
| 35.8 | 12 |

```
data_Fe4SiO9
_space_group_name_H-M_alt 'P 1 21 1'
_space_group_IT_number 4
_space_group_name_Hall 'P 2yb'
_cell_length_a 5.2967
_cell_length_b 15.6513
_cell_length_c 5.3328
_cell_angle_alpha 90.00
_cell_angle_beta 118.38
_cell_angle_gamma 90.00
loop_
_atom_site_label
_atom_site_fract_x
_atom_site_fract_y
_atom_site_fract_z
Fe1 0.0134 0.0000 0.1833
Fe2 0.3197 0.1986 0.1664
Fe3 0.3254 0.5022 0.4966
Fe4 0.3331 0.0021 0.8311
Si1 0.3436 0.6913 0.1766
O1 0.0025 0.4479 0.1455
O2 0.0029 0.5616 0.5113
O3 0.0336 0.7216 0.1360
O4 0.3214 0.0718 0.1681
O5 0.3255 0.4485 0.8402
O6 0.3521 0.5824 0.1862
O7 0.3585 0.9441 0.5106
O8 0.3824 0.7217 0.9067
O9 0.4026 0.2292 0.5288
```

No. 5
Computed X-ray diffraction stick pattern of FeSiO4 for Cu Kα, 1.54184 Å, from a DFT-relaxed cell (PBE+U, the Materials Project).

Most intense lines, 2θ from 5° to 70°, in order of rising 2θ:
| 2theta | I (rel.) |
| --- | --- |
| 14.7 | 61 |
| 22.0 | 100 |
| 29.1 | 19 |
| 32.7 | 22 |
| 32.9 | 16 |
| 45.3 | 16 |

```
data_FeSiO4
_space_group_name_H-M_alt 'P m n 21'
_space_group_IT_number 31
_space_group_name_Hall 'P 2ac -2'
_cell_length_a 6.1372
_cell_length_b 6.0425
_cell_length_c 5.4520
_cell_angle_alpha 90.00
_cell_angle_beta 90.00
_cell_angle_gamma 90.00
loop_
_atom_site_label
_atom_site_fract_x
_atom_site_fract_y
_atom_site_fract_z
Fe1 0.0000 0.1786 0.0000
Si1 0.0000 0.8650 0.5022
O1 0.0000 0.0853 0.6753
O2 0.0000 0.9421 0.2132
O3 0.2195 0.7143 0.5487
```

No. 6
Computed X-ray diffraction stick pattern of FeSiO4 for Cu Kα, 1.54184 Å, from a DFT-relaxed cell (PBE+U, the Materials Project).

Most intense lines, 2θ from 5° to 70°, in order of rising 2θ:
| 2theta | I (rel.) |
| --- | --- |
| 15.3 | 64 |
| 22.5 | 100 |
| 29.4 | 24 |
| 32.0 | 22 |
| 33.2 | 20 |
| 33.3 | 27 |

```
data_FeSiO4
_space_group_name_H-M_alt 'P n m a'
_space_group_IT_number 62
_space_group_name_Hall '-P 2ac 2n'
_cell_length_a 11.6147
_cell_length_b 6.0762
_cell_length_c 5.4028
_cell_angle_alpha 90.00
_cell_angle_beta 90.00
_cell_angle_gamma 90.00
loop_
_atom_site_label
_atom_site_fract_x
_atom_site_fract_y
_atom_site_fract_z
Fe1 0.0909 0.2500 0.1891
Si1 0.0679 0.7500 0.3060
O1 0.0354 0.7500 0.6015
O2 0.0501 0.2500 0.8568
O3 0.1469 0.5314 0.2451
```

No. 7
Computed X-ray diffraction stick pattern of Fe7Si4O16 for Cu Kα, 1.54184 Å, from a DFT-relaxed cell (PBE+U, the Materials Project).

Most intense lines, 2θ from 5° to 70°, in order of rising 2θ:
| 2theta | I (rel.) |
| --- | --- |
| 25.0 | 100 |
| 31.6 | 94 |
| 34.9 | 78 |
| 35.9 | 57 |
| 36.2 | 51 |
| 51.0 | 48 |

```
data_Fe7Si4O16
_space_group_name_H-M_alt 'P 1 21/c 1'
_space_group_IT_number 14
_space_group_name_Hall '-P 2ybc'
_cell_length_a 12.0436
_cell_length_b 4.9003
_cell_length_c 10.4047
_cell_angle_alpha 90.00
_cell_angle_beta 90.88
_cell_angle_gamma 90.00
loop_
_atom_site_label
_atom_site_fract_x
_atom_site_fract_y
_atom_site_fract_z
Fe1 0.0000 0.0000 0.0000
Fe2 0.1276 0.0143 0.2789
Fe3 0.2663 0.5026 0.5064
Fe4 0.3812 0.5052 0.2290
Si1 0.1299 0.5713 0.0971
Si2 0.3808 0.0645 0.4048
O1 0.0215 0.7118 0.1671
O2 0.1293 0.2366 0.0939
O3 0.1296 0.7126 0.9521
O4 0.2405 0.7102 0.1697
O5 0.2753 0.2315 0.3322
O6 0.3723 0.7346 0.3933
O7 0.3745 0.1727 0.5545
O8 0.4826 0.2038 0.3223
```